Starting from a PBE-relaxed structure, the X-ray diffraction stick pattern of NpSi6Ni6 was calculated for Cu Kα (λ = 1.5418 Å).
Neutral-atom scattering factors, no anomalous dispersion.

Structure:
a = 5.001 Å, b = 5.001 Å, c = 7.722 Å
α = 90.00°, β = 90.00°, γ = 120.14°
Fractional coordinates of all 13 atoms:
Np1 0.000 0.000 0.000
Si1 0.000 0.000 0.350
Si2 0.000 0.000 0.650
Si3 0.332 0.668 0.000
Si4 0.334 0.666 0.500
Si5 0.666 0.334 0.500
Si6 0.668 0.332 0.000
Ni1 0.000 0.500 0.254
Ni2 0.000 0.500 0.746
Ni3 0.500 0.000 0.254
Ni4 0.500 0.000 0.746
Ni5 0.500 0.500 0.253
Ni6 0.500 0.500 0.747

Peak list (10 most intense, 2θ from 10° to 90°, sorted by position)
11.46°, intensity 62.6; 23.56°, intensity 89.5; 31.04°, intensity 94.4; 35.94°, intensity 29.0; 37.84°, intensity 27.7; 40.79°, intensity 42.2; 41.74°, intensity 100.0; 43.12°, intensity 98.5; 47.07°, intensity 28.5; 64.70°, intensity 39.7

Starting from a PBE-relaxed structure, the X-ray diffraction stick pattern of PaZn17Ga was calculated for Cu Kα (λ = 1.5418 Å).
Neutral-atom scattering factors, no anomalous dispersion.

Structure:
a = 6.816 Å, b = 6.816 Å, c = 6.816 Å
α = 82.25°, β = 82.25°, γ = 82.25°
Fractional coordinates of all 19 atoms:
Pa1 0.000 0.000 0.000
Zn1 0.023 0.346 0.639
Zn2 0.023 0.639 0.346
Zn3 0.188 0.686 0.686
Zn4 0.238 0.238 0.238
Zn5 0.325 0.325 0.839
Zn6 0.325 0.839 0.325
Zn7 0.346 0.023 0.639
Zn8 0.346 0.639 0.023
Zn9 0.439 0.439 0.439
Zn10 0.499 0.991 0.991
Zn11 0.639 0.023 0.346
Zn12 0.639 0.346 0.023
Zn13 0.686 0.188 0.686
Zn14 0.686 0.686 0.188
Zn15 0.839 0.325 0.325
Zn16 0.991 0.499 0.991
Zn17 0.991 0.991 0.499
Ga1 0.741 0.741 0.741

Peak list (10 most intense, 2θ from 10° to 90°, sorted by position)
13.20°, intensity 26.2; 34.66°, intensity 45.8; 35.55°, intensity 37.9; 40.24°, intensity 61.6; 40.35°, intensity 100.0; 40.69°, intensity 28.0; 41.02°, intensity 20.9; 45.34°, intensity 42.2; 65.97°, intensity 18.5; 73.14°, intensity 23.4